Record 1
Starting from a structure optimized by DFT (PBE+U), the X-ray diffraction stick pattern of Mg2MnIrO6 was calculated for Cu Kα.

Principal peaks in the range 10 to 90 degrees two-theta, most intense first:
2theta	I (rel.)	hkl
33.96	100.0	1 1 -3
24.27	97.9	1 1 -1
33.63	73.3	1 1 1
20.41	60.7	0 1 1
23.17	52.4	0 0 2
49.71	31.1	2 2 -2
21.05	30.6	1 0 -2
35.21	27.2	2 0 -2
20.78	26.2	1 0 0
60.77	22.3	2 0 -6

Cell and atoms:
```
Mg2MnIrO6
1.0
5.0978 0.0000 0.0000
0.0000 5.2820 0.0000
-4.9936 0.0000 7.6790
Mg Mn Ir O
4 2 2 12
direct
0.2358 0.0588 0.2492
0.2358 0.4412 0.7492
0.7642 0.5588 0.2508
0.7642 0.9412 0.7508
0.0000 0.0000 0.5000
0.0000 0.5000 0.0000
0.5000 0.0000 0.0000
0.5000 0.5000 0.5000
0.1107 0.1878 0.9289
0.1107 0.3122 0.4289
0.2461 0.6858 0.9266
0.2461 0.8142 0.4266
0.3972 0.0740 0.7604
0.3972 0.4260 0.2604
0.6028 0.5740 0.7396
0.6028 0.9260 0.2396
0.7539 0.1858 0.5734
0.7539 0.3142 0.0734
0.8893 0.6878 0.5711
0.8893 0.8122 0.0711
```

Record 2
Starting from a structure optimized by DFT (PBE+U), the X-ray diffraction stick pattern of MgMo2Ir2O12 was calculated for Cu Kα.

Principal peaks in the range 10 to 90 degrees two-theta, most intense first:
2theta	I (rel.)	hkl
23.94	100.0	1 1 0
23.69	49.3	0 0 2
33.85	33.2	1 1 -2
34.02	32.1	1 1 2
49.00	19.2	2 -2 0
33.42	17.8	0 2 0
34.78	14.0	2 0 0
20.35	13.3	0 1 -1
54.32	12.0	1 -3 0
60.17	11.4	0 2 4

Cell and atoms:
```
MgMo2Ir2O12
1.0
5.1595 0.0000 0.0000
-0.0090 5.3618 0.0000
-0.0504 -0.0032 7.5103
Mg Mo Ir O
1 2 2 12
direct
0.0000 0.0000 0.0000
0.0283 0.5570 0.2680
0.5257 0.0677 0.7306
0.0282 0.5610 0.7563
0.5243 0.0626 0.2439
0.1209 0.6025 0.0024
0.2287 0.8529 0.2967
0.2340 0.8571 0.7050
0.3269 0.3563 0.7077
0.3271 0.3570 0.2941
0.3923 0.0758 0.0007
0.6242 0.0537 0.4967
0.7377 0.7743 0.1953
0.7429 0.7890 0.8121
0.8409 0.2528 0.8158
0.8444 0.2524 0.1852
0.9295 0.5377 0.5036
```

Record 3
Starting from a structure optimized by DFT (PBE+U), the X-ray diffraction stick pattern of Mg2VIrO6 was calculated for Cu Kα.

Principal peaks in the range 10 to 90 degrees two-theta, most intense first:
2theta	I (rel.)	hkl
34.25	100.0	1 1 1
24.24	73.8	1 1 -1
20.61	45.3	0 1 1
21.05	43.1	1 0 -2
23.83	37.3	0 0 2
33.99	24.7	0 2 0
49.65	23.0	2 2 -2
55.24	21.3	1 3 -1
35.09	20.8	2 0 -2
41.02	20.7	2 1 -1

Cell and atoms:
```
Mg2VIrO6
1.0
5.1153 0.0000 0.0000
0.0000 5.2755 0.0000
-5.0900 0.0000 7.4691
Mg V Ir O
4 2 2 12
direct
0.2385 0.0622 0.2500
0.2385 0.4378 0.7500
0.7615 0.5622 0.2500
0.7615 0.9378 0.7500
0.0000 0.0000 0.5000
0.0000 0.5000 0.0000
0.5000 0.0000 0.0000
0.5000 0.5000 0.5000
0.1014 0.1937 0.9309
0.1014 0.3063 0.4309
0.2424 0.6773 0.9340
0.2424 0.8227 0.4340
0.3763 0.0586 0.7425
0.3763 0.4414 0.2425
0.6237 0.5586 0.7575
0.6237 0.9414 0.2575
0.7576 0.1773 0.5660
0.7576 0.3227 0.0660
0.8986 0.6937 0.5691
0.8986 0.8063 0.0691
```